Entry 1:
# Co3Ni2
Calculated X-ray diffraction stick pattern, CuKα. Input: a GGA-PBE-relaxed structure.
Kinematic intensities with the Lorentz-polarization factor, no thermal factor.

Principal peaks in the range 2θ from 15° to 90°, by intensity:
| two_theta | I/Imax |
| --- | --- |
| 44.57 | 100 |
| 51.93 | 46 |
| 76.46 | 13 |
| 76.57 | 13 |

Lattice parameters (Å, degrees): 10.2783 10.2783 10.2783 13.91 13.91 13.91
Fractional positions:
Co 0.0000 0.0000 0.0000
Co 0.3996 0.3996 0.3996
Co 0.6004 0.6004 0.6004
Ni 0.2004 0.2004 0.2004
Ni 0.7996 0.7996 0.7996

=====

Entry 2:
# Co5Ni7
Calculated X-ray diffraction stick pattern, CuKα. Input: a GGA-PBE-relaxed structure.
Kinematic intensities with the Lorentz-polarization factor, no thermal factor.

Principal peaks in the range 2θ from 15° to 90°, by intensity:
| two_theta | I/Imax |
| --- | --- |
| 43.79 | 100 |
| 46.89 | 81 |
| 47.01 | 80 |
| 63.66 | 30 |
| 82.75 | 27 |
| 82.60 | 14 |
| 82.86 | 13 |
| 89.52 | 11 |
| 73.34 | 10 |
| 89.33 | 6 |

Lattice parameters (Å, degrees): 4.3897 4.3897 8.6560 105.08 105.08 56.18
Fractional positions:
Co 0.0000 0.0000 0.0000
Co 0.1682 0.1682 0.4963
Co 0.2490 0.2490 0.2488
Co 0.7510 0.7510 0.7512
Co 0.8318 0.8318 0.5037
Ni 0.0846 0.0846 0.7491
Ni 0.3334 0.3334 0.9985
Ni 0.4184 0.4184 0.7489
Ni 0.5000 0.5000 0.5000
Ni 0.5816 0.5816 0.2511
Ni 0.6666 0.6666 0.0015
Ni 0.9154 0.9154 0.2509

=====

Entry 3:
# Co2Ni3
Calculated X-ray diffraction stick pattern, CuKα. Input: a GGA-PBE-relaxed structure.
Kinematic intensities with the Lorentz-polarization factor, no thermal factor.

Principal peaks in the range 2θ from 15° to 90°, by intensity:
| two_theta | I/Imax |
| --- | --- |
| 44.65 | 100 |
| 51.96 | 62 |
| 44.38 | 34 |
| 76.36 | 18 |
| 76.75 | 18 |

Lattice parameters (Å, degrees): 10.3056 10.3056 10.3056 13.84 13.84 13.84
Fractional positions:
Co 0.0999 0.0999 0.0999
Co 0.9001 0.9001 0.9001
Ni 0.2996 0.2996 0.2996
Ni 0.5000 0.5000 0.5000
Ni 0.7004 0.7004 0.7004

=====

Entry 4:
# CoNi2
Calculated X-ray diffraction stick pattern, CuKα. Input: a GGA-PBE-relaxed structure.
Kinematic intensities with the Lorentz-polarization factor, no thermal factor.

Principal peaks in the range 2θ from 15° to 90°, by intensity:
| two_theta | I/Imax |
| --- | --- |
| 46.07 | 100 |
| 45.59 | 79 |
| 48.26 | 24 |
| 66.82 | 19 |
| 84.99 | 16 |
| 55.69 | 15 |
| 81.06 | 14 |
| 85.34 | 11 |
| 40.37 | 10 |
| 39.84 | 8 |

Lattice parameters (Å, degrees): 6.8248 6.8248 2.4496 90.00 90.00 120.00
Fractional positions:
Co 0.0000 0.0000 0.0000
Co 0.3333 0.6667 0.5000
Co 0.6667 0.3333 0.5000
Ni 0.0000 0.3044 0.5000
Ni 0.0000 0.6395 0.0000
Ni 0.3044 0.0000 0.5000
Ni 0.3605 0.3605 0.0000
Ni 0.6395 0.0000 0.0000
Ni 0.6956 0.6956 0.5000

=====

Entry 5:
# Co4Ni3
Calculated X-ray diffraction stick pattern, CuKα. Input: a GGA-PBE-relaxed structure.
Kinematic intensities with the Lorentz-polarization factor, no thermal factor.

Principal peaks in the range 2θ from 15° to 90°, by intensity:
| two_theta | I/Imax |
| --- | --- |
| 46.99 | 100 |
| 43.70 | 63 |
| 82.65 | 34 |
| 63.52 | 19 |
| 89.69 | 14 |
| 73.59 | 6 |

Lattice parameters (Å, degrees): 9.2445 9.2445 9.2445 161.77 161.77 25.90
Fractional positions:
Co 0.0711 0.0711 0.0000
Co 0.3579 0.3579 0.0000
Co 0.6421 0.6421 0.0000
Co 0.9289 0.9289 0.0000
Ni 0.2149 0.2149 0.0000
Ni 0.5000 0.5000 0.0000
Ni 0.7851 0.7851 0.0000

=====

Entry 6:
# Co12Ni17
Calculated X-ray diffraction stick pattern, CuKα. Input: a GGA-PBE-relaxed structure.
Kinematic intensities with the Lorentz-polarization factor, no thermal factor.

Principal peaks in the range 2θ from 15° to 90°, by intensity:
| two_theta | I/Imax |
| --- | --- |
| 44.52 | 100 |
| 49.52 | 25 |
| 82.02 | 22 |
| 54.17 | 14 |
| 51.88 | 10 |
| 41.85 | 7 |
| 78.31 | 7 |
| 76.43 | 4 |
| 83.86 | 4 |
| 89.35 | 4 |

Lattice parameters (Å, degrees): 7.4770 7.4770 7.4770 109.47 109.47 109.47
Fractional positions:
Co 0.0000 0.6276 0.8106
Co 0.0000 0.8106 0.6276
Co 0.1830 0.3724 0.3724
Co 0.1894 0.1894 0.8170
Co 0.1894 0.8170 0.1894
Co 0.3724 0.1830 0.3724
Co 0.3724 0.3724 0.1830
Co 0.6276 0.0000 0.8106
Co 0.6276 0.8106 0.0000
Co 0.8106 0.0000 0.6276
Co 0.8106 0.6276 0.0000
Co 0.8170 0.1894 0.1894
Ni 0.0000 0.0000 0.0000
Ni 0.0000 0.0000 0.3515
Ni 0.0000 0.3176 0.6008
Ni 0.0000 0.3515 0.0000
Ni 0.0000 0.6008 0.3176
Ni 0.2832 0.6824 0.6824
Ni 0.3176 0.0000 0.6008
Ni 0.3176 0.6008 0.0000
Ni 0.3515 0.0000 0.0000
Ni 0.3992 0.3992 0.7168
Ni 0.3992 0.7168 0.3992
Ni 0.6008 0.0000 0.3176
Ni 0.6008 0.3176 0.0000
Ni 0.6485 0.6485 0.6485
Ni 0.6824 0.2832 0.6824
Ni 0.6824 0.6824 0.2832
Ni 0.7168 0.3992 0.3992

=====

Entry 7:
# Co8Ni3
Calculated X-ray diffraction stick pattern, CuKα. Input: a GGA-PBE-relaxed structure.
Kinematic intensities with the Lorentz-polarization factor, no thermal factor.

Principal peaks in the range 2θ from 15° to 90°, by intensity:
| two_theta | I/Imax |
| --- | --- |
| 44.59 | 100 |
| 51.57 | 16 |
| 51.97 | 15 |
| 52.33 | 15 |
| 76.26 | 9 |
| 76.55 | 9 |
| 76.79 | 4 |
| 76.94 | 4 |

Lattice parameters (Å, degrees): 4.2993 4.2993 8.9669 104.13 104.13 48.69
Fractional positions:
Co 0.0462 0.0462 0.3182
Co 0.1375 0.1375 0.9550
Co 0.2270 0.2270 0.5904
Co 0.3185 0.3185 0.2259
Co 0.6815 0.6815 0.7741
Co 0.7730 0.7730 0.4096
Co 0.8625 0.8625 0.0450
Co 0.9538 0.9538 0.6818
Ni 0.4089 0.4089 0.8628
Ni 0.5000 0.5000 0.5000
Ni 0.5911 0.5911 0.1372

=====

Entry 8:
# CoNi4
Calculated X-ray diffraction stick pattern, CuKα. Input: a GGA-PBE-relaxed structure.
Kinematic intensities with the Lorentz-polarization factor, no thermal factor.

Principal peaks in the range 2θ from 15° to 90°, by intensity:
| two_theta | I/Imax |
| --- | --- |
| 44.46 | 100 |
| 39.08 | 32 |
| 55.19 | 22 |
| 56.46 | 21 |
| 41.42 | 18 |
| 48.67 | 17 |
| 77.68 | 17 |
| 45.16 | 15 |
| 60.66 | 15 |
| 80.32 | 7 |

Lattice parameters (Å, degrees): 5.1538 5.1538 4.3597 90.00 90.00 90.00
Fractional positions:
Co 0.0000 0.0000 0.2500
Co 0.0000 0.0000 0.7500
Ni 0.1918 0.3670 0.0000
Ni 0.1918 0.6330 0.5000
Ni 0.3670 0.1918 0.5000
Ni 0.3670 0.8082 0.0000
Ni 0.6330 0.1918 0.0000
Ni 0.6330 0.8082 0.5000
Ni 0.8082 0.3670 0.5000
Ni 0.8082 0.6330 0.0000

=====

Entry 9:
# CoNi
Calculated X-ray diffraction stick pattern, CuKα. Input: a GGA-PBE-relaxed structure.
Kinematic intensities with the Lorentz-polarization factor, no thermal factor.

Principal peaks in the range 2θ from 15° to 90°, by intensity:
| two_theta | I/Imax |
| --- | --- |
| 44.66 | 100 |
| 51.95 | 62 |
| 44.33 | 34 |
| 76.30 | 18 |
| 76.77 | 18 |

Lattice parameters (Å, degrees): 4.3306 4.3306 4.3306 33.32 33.32 33.32
Fractional positions:
Co 0.0000 0.0000 0.0000
Ni 0.5000 0.5000 0.5000

=====

Entry 10:
# Co5Ni7
Calculated X-ray diffraction stick pattern, CuKα. Input: a GGA-PBE-relaxed structure.
Kinematic intensities with the Lorentz-polarization factor, no thermal factor.

Principal peaks in the range 2θ from 15° to 90°, by intensity:
| two_theta | I/Imax |
| --- | --- |
| 44.59 | 100 |
| 52.01 | 31 |
| 76.53 | 22 |
| 51.88 | 16 |
| 76.71 | 4 |

Lattice parameters (Å, degrees): 7.8696 7.8696 3.5250 90.00 90.00 143.19
Fractional positions:
Co 0.0000 0.0000 0.0000
Co 0.0000 0.5000 0.5000
Co 0.1669 0.8331 0.0000
Co 0.5000 0.0000 0.5000
Co 0.8331 0.1669 0.0000
Ni 0.1648 0.3314 0.5000
Ni 0.3314 0.1648 0.5000
Ni 0.3319 0.6681 0.0000
Ni 0.5000 0.5000 0.0000
Ni 0.6681 0.3319 0.0000
Ni 0.6686 0.8352 0.5000
Ni 0.8352 0.6686 0.5000

=====

Entry 11:
# Co3Ni5
Calculated X-ray diffraction stick pattern, CuKα. Input: a GGA-PBE-relaxed structure.
Kinematic intensities with the Lorentz-polarization factor, no thermal factor.

Principal peaks in the range 2θ from 15° to 90°, by intensity:
| two_theta | I/Imax |
| --- | --- |
| 47.89 | 100 |
| 47.52 | 54 |
| 44.81 | 42 |
| 42.00 | 27 |
| 84.87 | 17 |
| 76.16 | 15 |
| 63.09 | 15 |
| 41.58 | 12 |
| 84.59 | 9 |
| 77.02 | 7 |

Lattice parameters (Å, degrees): 2.4762 4.0454 8.6875 90.00 90.00 90.00
Fractional positions:
Co 0.0000 0.0000 0.0000
Co 0.0000 0.5000 0.1618
Co 0.5000 0.0000 0.2479
Ni 0.0000 0.0000 0.4970
Ni 0.0000 0.5000 0.6624
Ni 0.5000 0.0000 0.7491
Ni 0.5000 0.5000 0.4119
Ni 0.5000 0.5000 0.9139

=====

Entry 12:
# CoNi2
Calculated X-ray diffraction stick pattern, CuKα. Input: a GGA-PBE-relaxed structure.
Kinematic intensities with the Lorentz-polarization factor, no thermal factor.

Principal peaks in the range 2θ from 15° to 90°, by intensity:
| two_theta | I/Imax |
| --- | --- |
| 44.64 | 100 |
| 51.97 | 62 |
| 44.46 | 34 |
| 76.44 | 18 |
| 76.70 | 18 |

Lattice parameters (Å, degrees): 2.4849 2.4849 6.1135 90.00 90.00 120.00
Fractional positions:
Co 0.0000 0.0000 0.0000
Ni 0.3333 0.6667 0.3314
Ni 0.6667 0.3333 0.6686

=====

Entry 13:
# CoNi
Calculated X-ray diffraction stick pattern, CuKα. Input: a GGA-PBE-relaxed structure.
Kinematic intensities with the Lorentz-polarization factor, no thermal factor.

Principal peaks in the range 2θ from 15° to 90°, by intensity:
| two_theta | I/Imax |
| --- | --- |
| 47.68 | 100 |
| 47.88 | 46 |
| 44.80 | 39 |
| 41.76 | 23 |
| 84.69 | 17 |
| 76.56 | 14 |
| 41.99 | 14 |
| 62.90 | 12 |
| 84.85 | 8 |
| 63.08 | 8 |

Lattice parameters (Å, degrees): 4.3031 4.0462 5.0034 90.00 90.00 90.00
Fractional positions:
Co 0.0790 0.2500 0.1253
Co 0.4210 0.7500 0.6253
Co 0.5790 0.2500 0.3747
Co 0.9210 0.7500 0.8747
Ni 0.0806 0.2500 0.6246
Ni 0.4194 0.7500 0.1246
Ni 0.5806 0.2500 0.8754
Ni 0.9194 0.7500 0.3754

=====

Entry 14:
# Co6Ni5
Calculated X-ray diffraction stick pattern, CuKα. Input: a GGA-PBE-relaxed structure.
Kinematic intensities with the Lorentz-polarization factor, no thermal factor.

Principal peaks in the range 2θ from 15° to 90°, by intensity:
| two_theta | I/Imax |
| --- | --- |
| 45.06 | 100 |
| 51.78 | 16 |
| 52.66 | 16 |
| 53.11 | 15 |
| 78.06 | 9 |
| 77.35 | 9 |
| 76.86 | 5 |
| 77.11 | 4 |
| 29.92 | 3 |
| 21.29 | 3 |

Lattice parameters (Å, degrees): 5.4574 5.4574 7.0621 90.05 90.05 142.86
Fractional positions:
Co 0.9998 0.9998 0.2422
Co 0.0002 0.0002 0.7578
Co 0.3367 0.6632 0.2445
Co 0.3368 0.6633 0.7555
Co 0.6632 0.3367 0.2445
Co 0.6633 0.3368 0.7555
Ni 0.1666 0.8334 0.0000
Ni 0.1683 0.8317 0.5000
Ni 0.5000 0.5000 0.5000
Ni 0.8317 0.1683 0.5000
Ni 0.8334 0.1666 0.0000